For PaVAg2O6, a DFT-relaxed cell (PBE+U, Alexandria) gives the theoretical powder diffraction line list in this record (Cu Kα (λ = 1.5418 Å)).
Peak positions follow from Bragg's law for the DFT cell and can differ from measured ones.

```
data_PaVAg2O6
_space_group_name_H-M_alt 'R -3'
_space_group_IT_number 148
_space_group_name_Hall '-R 3'
_cell_length_a 5.6108
_cell_length_b 5.6108
_cell_length_c 14.2454
_cell_angle_alpha 90.00
_cell_angle_beta 90.00
_cell_angle_gamma 120.00
loop_
_atom_site_label
_atom_site_type_symbol
_atom_site_fract_x
_atom_site_fract_y
_atom_site_fract_z
Pa1 Pa 0.0000 0.0000 0.0000
V1 V 0.0000 0.0000 0.5000
Ag1 Ag 0.0000 0.0000 0.2514
O1 O 0.0245 0.4325 0.2442
```

Peak list (10 most intense, 10 to 90 degrees two-theta, in order of rising 2θ)
| hkl | two_theta | I (rel.) |
| --- | --- | --- |
| 1 0 1 | 19.3 | 35 |
| 1 0 4 | 31.1 | 100 |
| 1 1 0 | 31.9 | 88 |
| 1 1 3 | 37.2 | 21 |
| 0 2 4 | 45.2 | 49 |
| 0 1 8 | 54.9 | 20 |
| 3 -1 4 | 56.4 | 38 |
| 3 0 0 | 56.8 | 21 |
| 2 0 8 | 64.9 | 16 |
| 1 2 8 | 74.2 | 17 |